No. 1
This entry pairs a crystal structure of Nb4VTc with its theoretical powder diffraction line list. Radiation: copper Kα. Structure: a cell relaxed with PBE.

Peak list (8 most intense, 2θ = 10–80°, low angle first)
two_theta	d [Å]	I (rel.)
29.3	3.053	2
33.4	2.685	2
39.4	2.289	100
39.7	2.272	49
56.4	1.630	8
57.4	1.607	16
71.2	1.325	16
71.8	1.315	32

Cell and atoms:
Cell: 3.2132 3.2132 9.7813 Å, 90.00 90.00 90.00°
Space group P4/mmm (No. 123)
Symmetry-distinct sites (fractional):
1 Nb 0.0000 0.0000 0.1590 (multiplicity 2)
2 Nb 0.5000 0.5000 0.3380 (multiplicity 2)
3 V 0.5000 0.5000 0.0000 (multiplicity 1)
4 Tc 0.0000 0.0000 0.5000 (multiplicity 1)

***

No. 2
This entry pairs a crystal structure of Nb7Tc2W2 with its theoretical powder diffraction line list. Radiation: copper Kα. Structure: a cell relaxed with PBE.

Peak list (8 most intense, 2θ = 10–80°, low angle first)
two_theta	d [Å]	I (rel.)
21.6	4.112	10
39.7	2.270	100
39.9	2.261	19
57.3	1.607	7
57.5	1.603	13
72.0	1.312	20
72.1	1.310	6
72.3	1.307	12

Cell and atoms:
Cell: 4.5470 9.0426 9.6399 Å, 90.00 90.00 90.00°
Space group Immm (No. 71)
Symmetry-distinct sites (fractional):
1 Nb 0.0000 0.0000 0.0000 (multiplicity 2)
2 Nb 0.0000 0.0000 0.3409 (multiplicity 4)
3 Nb 0.0000 0.2634 0.1639 (multiplicity 8)
4 Tc 0.0000 0.5000 0.3356 (multiplicity 4)
5 W 0.0000 0.2560 0.5000 (multiplicity 4)